Starting from DFT lattice parameters and positions (GGA+U), the XRD peak list of LiMn2P2HO9 was calculated for λ = 1.5418 Å (Cu Kα).

Most intense lines, 2θ = 15–90°, by intensity:
d_spacing, 2θ/deg, Rel. int., h k l
5.343, 16.6, 100, 0 1 1
3.177, 28.1, 83, 0 2 1
2.915, 30.7, 61, 1 0 -3
2.671, 33.5, 58, 0 2 2
2.984, 29.9, 47, 2 0 0
2.687, 33.3, 44, 1 2 1
3.422, 26.0, 42, 0 2 0
1.989, 45.6, 36, 3 0 0
1.582, 58.3, 31, 1 2 -5
5.720, 15.5, 29, 1 0 -1
1.711, 53.5, 29, 0 4 0
2.849, 31.4, 25, 0 0 3

Structure:
```
LiMn2P2HO9
1.0
6.227 0.000 0.000
0.000 6.845 0.000
-2.548 0.000 8.548
Li Mn P H O
2 4 4 2 18
direct
0.095 0.250 0.365
0.905 0.750 0.635
0.454 0.250 0.791
0.500 0.000 0.500
0.500 0.500 0.500
0.546 0.750 0.209
0.108 0.750 0.300
0.450 0.250 0.168
0.550 0.750 0.832
0.892 0.250 0.700
0.085 0.250 0.031
0.915 0.750 0.969
0.144 0.250 0.781
0.174 0.562 0.403
0.174 0.938 0.403
0.181 0.250 0.140
0.222 0.750 0.166
0.402 0.250 0.554
0.462 0.568 0.733
0.462 0.932 0.733
0.484 0.750 0.983
0.516 0.250 0.017
0.538 0.068 0.267
0.538 0.432 0.267
0.598 0.750 0.446
0.778 0.250 0.834
0.819 0.750 0.860
0.826 0.062 0.597
0.826 0.438 0.597
0.856 0.750 0.219
```